Diffraction record for CeThPt6. The powder X-ray diffraction pattern is simulated, not measured: it uses a structure optimized by DFT (PBE) and Cu Kα (λ = 1.5418 Å).

Main lines, sorted by position (15° ≤ 2θ ≤ 90°):
| 2θ/deg | intensity |
| --- | --- |
| 23.65 | 0.9 |
| 31.92 | 0.9 |
| 37.02 | 100.0 |
| 43.01 | 49.6 |
| 62.46 | 33.3 |
| 74.85 | 26.4 |
| 74.95 | 13.1 |
| 78.83 | 11.5 |

Atomic structure:
```
data_CeThPt6
_chemical_formula_sum 'Ce1 Th1 Pt6'
_cell_length_a 4.208
_cell_length_b 4.208
_cell_length_c 8.403
_cell_angle_alpha 90.00
_cell_angle_beta 90.00
_cell_angle_gamma 90.00
_space_group_name_H-M_alt 'P 1'
_space_group_IT_number 1
loop_
_space_group_symop_operation_xyz
'x,y,z'
loop_
_atom_site_label
_atom_site_fract_x
_atom_site_fract_y
_atom_site_fract_z
Ce1 0.000 0.000 0.000
Th1 0.000 0.000 0.500
Pt1 0.000 0.500 0.247
Pt2 0.000 0.500 0.753
Pt3 0.500 0.000 0.247
Pt4 0.500 0.000 0.753
Pt5 0.500 0.500 0.000
Pt6 0.500 0.500 0.500
```



Diffraction record for CeCd7Cu5. The powder X-ray diffraction pattern is simulated, not measured: it uses a structure optimized by DFT (PBE) and Cu Kα (λ = 1.5418 Å).

Main lines, sorted by position (15° ≤ 2θ ≤ 90°):
| 2θ/deg | intensity |
| --- | --- |
| 32.79 | 57.8 |
| 33.97 | 26.4 |
| 37.49 | 26.2 |
| 37.64 | 21.2 |
| 37.92 | 100.0 |
| 38.96 | 44.6 |
| 42.20 | 21.5 |
| 43.47 | 44.8 |
| 63.41 | 20.9 |
| 67.94 | 15.2 |

Atomic structure:
```
data_CeCd7Cu5
_chemical_formula_sum 'Ce1 Cd7 Cu5'
_cell_length_a 7.268
_cell_length_b 7.268
_cell_length_c 7.268
_cell_angle_alpha 137.41
_cell_angle_beta 97.76
_cell_angle_gamma 97.39
_space_group_name_H-M_alt 'P 1'
_space_group_IT_number 1
loop_
_space_group_symop_operation_xyz
'x,y,z'
loop_
_atom_site_label
_atom_site_fract_x
_atom_site_fract_y
_atom_site_fract_z
Ce1 0.000 0.000 0.000
Cd1 0.222 0.514 0.707
Cd2 0.235 0.735 0.500
Cd3 0.351 0.351 0.000
Cd4 0.368 0.023 0.345
Cd5 0.668 0.668 0.000
Cd6 0.678 0.023 0.655
Cd7 0.807 0.514 0.293
Cu1 0.007 0.019 0.487
Cu2 0.007 0.520 0.989
Cu3 0.531 0.019 0.011
Cu4 0.531 0.520 0.513
Cu5 0.797 0.297 0.500
```



Diffraction record for Ca2Zn2HgPd5. The powder X-ray diffraction pattern is simulated, not measured: it uses a structure optimized by DFT (PBE) and Cu Kα (λ = 1.5418 Å).

Main lines, sorted by position (15° ≤ 2θ ≤ 90°):
| 2θ/deg | intensity |
| --- | --- |
| 18.17 | 24.2 |
| 20.33 | 18.7 |
| 34.95 | 29.1 |
| 37.37 | 100.0 |
| 37.98 | 22.3 |
| 40.77 | 31.2 |
| 41.34 | 22.5 |
| 47.40 | 29.0 |
| 64.66 | 11.9 |
| 72.77 | 16.0 |

Atomic structure:
```
data_Ca2Zn2HgPd5
_chemical_formula_sum 'Ca4 Zn4 Hg2 Pd10'
_cell_length_a 9.767
_cell_length_b 9.767
_cell_length_c 3.838
_cell_angle_alpha 90.00
_cell_angle_beta 90.00
_cell_angle_gamma 90.00
_space_group_name_H-M_alt 'P 1'
_space_group_IT_number 1
loop_
_space_group_symop_operation_xyz
'x,y,z'
loop_
_atom_site_label
_atom_site_fract_x
_atom_site_fract_y
_atom_site_fract_z
Ca1 0.177 0.323 0.000
Ca2 0.323 0.823 0.000
Ca3 0.677 0.177 0.000
Ca4 0.823 0.677 0.000
Zn1 0.121 0.621 0.000
Zn2 0.379 0.121 0.000
Zn3 0.621 0.879 0.000
Zn4 0.879 0.379 0.000
Hg1 0.000 0.000 0.000
Hg2 0.500 0.500 0.000
Pd1 0.000 0.500 0.500
Pd2 0.068 0.791 0.500
Pd3 0.209 0.068 0.500
Pd4 0.291 0.568 0.500
Pd5 0.432 0.291 0.500
Pd6 0.500 0.000 0.500
Pd7 0.568 0.709 0.500
Pd8 0.709 0.432 0.500
Pd9 0.791 0.932 0.500
Pd10 0.932 0.209 0.500
```